Theoretical powder X-ray diffraction pattern
Compound: PrEuZrFeO6
Radiation: Cu Kα X-rays
Structure: DFT lattice parameters and positions (PBE+U)

Principal peaks in the range 10 to 80 degrees two-theta, in order of rising 2θ:
two_theta, I (rel.)
21.7, 7
30.9, 100
38.0, 13
44.2, 31
49.8, 4
54.9, 40
64.3, 19
73.0, 17

Atomic structure:
```
PrEuZrFeO6
1.0
0.0000 4.0966 4.0966
4.0966 0.0000 4.0966
4.0966 4.0966 0.0000
Pr Eu Zr Fe O
1 1 1 1 6
Direct
0.0000 0.0000 0.0000
0.5000 0.5000 0.5000
0.2500 0.2500 0.2500
0.7500 0.7500 0.7500
0.5039 0.5039 0.9961
0.5039 0.9961 0.5039
0.5039 0.9961 0.9961
0.9961 0.5039 0.5039
0.9961 0.5039 0.9961
0.9961 0.9961 0.5039
```